[1]
The following is a simulated X-ray powder pattern of HoErMg2. It was derived from a crystal structure in the Materials Project, relaxed with GGA-PBE, using Cu Kα X-rays.
Peak positions follow from Bragg's law for the DFT cell and can differ from measured ones.

Structural model:
```
HoErMg2
1.0
7.538 0.000 0.000
0.000 7.538 0.000
0.000 0.000 7.538
Ho Er Mg
4 4 8
direct
0.000 0.000 0.000
0.000 0.500 0.500
0.500 0.000 0.500
0.500 0.500 0.000
0.000 0.000 0.500
0.000 0.500 0.000
0.500 0.000 0.000
0.500 0.500 0.500
0.250 0.250 0.250
0.250 0.250 0.750
0.250 0.750 0.250
0.250 0.750 0.750
0.750 0.250 0.250
0.750 0.250 0.750
0.750 0.750 0.250
0.750 0.750 0.750
```

Main lines, sorted by position (2θ from 10° to 80°):
- 23.6 deg, d = 3.769 Å, intensity 64
- 33.6 deg, d = 2.665 Å, intensity 100
- 41.5 deg, d = 2.176 Å, intensity 20
- 48.3 deg, d = 1.885 Å, intensity 18
- 54.4 deg, d = 1.686 Å, intensity 27
- 60.1 deg, d = 1.539 Å, intensity 38
- 70.7 deg, d = 1.333 Å, intensity 12
- 75.7 deg, d = 1.256 Å, intensity 13

[2]
The following is a simulated X-ray powder pattern of HoErPd2. It was derived from a crystal structure in the Materials Project, relaxed with GGA-PBE, using Cu Kα X-rays.
Peak positions follow from Bragg's law for the DFT cell and can differ from measured ones.

Structural model:
```
HoErPd2
1.0
6.968 0.000 0.000
0.000 6.968 0.000
0.000 0.000 6.968
Ho Er Pd
4 4 8
direct
0.000 0.000 0.000
0.000 0.500 0.500
0.500 0.000 0.500
0.500 0.500 0.000
0.000 0.000 0.500
0.000 0.500 0.000
0.500 0.000 0.000
0.500 0.500 0.500
0.250 0.250 0.250
0.250 0.250 0.750
0.250 0.750 0.250
0.250 0.750 0.750
0.750 0.250 0.250
0.750 0.250 0.750
0.750 0.750 0.250
0.750 0.750 0.750
```

Main lines, sorted by position (2θ from 10° to 80°):
- 25.6 deg, d = 3.484 Å, intensity 5
- 36.5 deg, d = 2.463 Å, intensity 100
- 45.1 deg, d = 2.011 Å, intensity 2
- 52.5 deg, d = 1.742 Å, intensity 18
- 59.3 deg, d = 1.558 Å, intensity 2
- 65.6 deg, d = 1.422 Å, intensity 36
- 77.5 deg, d = 1.232 Å, intensity 11

What did the first record say?
The following is a simulated X-ray powder pattern of HoErMg2. It was derived from a crystal structure in the Materials Project, relaxed with GGA-PBE, using Cu Kα X-rays.
Peak positions follow from Bragg's law for the DFT cell and can differ from measured ones.

Structural model:
```
HoErMg2
1.0
7.538 0.000 0.000
0.000 7.538 0.000
0.000 0.000 7.538
Ho Er Mg
4 4 8
direct
0.000 0.000 0.000
0.000 0.500 0.500
0.500 0.000 0.500
0.500 0.500 0.000
0.000 0.000 0.500
0.000 0.500 0.000
0.500 0.000 0.000
0.500 0.500 0.500
0.250 0.250 0.250
0.250 0.250 0.750
0.250 0.750 0.250
0.250 0.750 0.750
0.750 0.250 0.250
0.750 0.250 0.750
0.750 0.750 0.250
0.750 0.750 0.750
```

Main lines, sorted by position (2θ from 10° to 80°):
- 23.6 deg, d = 3.769 Å, intensity 64
- 33.6 deg, d = 2.665 Å, intensity 100
- 41.5 deg, d = 2.176 Å, intensity 20
- 48.3 deg, d = 1.885 Å, intensity 18
- 54.4 deg, d = 1.686 Å, intensity 27
- 60.1 deg, d = 1.539 Å, intensity 38
- 70.7 deg, d = 1.333 Å, intensity 12
- 75.7 deg, d = 1.256 Å, intensity 13